Structure and calculated powder XRD pattern of Nd2ErPb9 (a GGA-PBE-relaxed structure; copper Kα).
No peak broadening, texture or thermal motion is included.

Principal peaks in the range 2θ from 15° to 90°, by angle:
| Position (°2θ) | intensity |
| --- | --- |
| 31.56 | 100 |
| 36.60 | 51 |
| 52.73 | 36 |
| 62.72 | 29 |
| 62.84 | 14 |
| 65.89 | 12 |

Structural model:
a = 4.9141 Å, b = 4.9141 Å, c = 14.7088 Å
α = 90.00°, β = 90.00°, γ = 90.00°
Fractional positions:
Nd (0.0000, 0.0000, 0.1679)
Nd (0.0000, 0.0000, 0.8321)
Er (0.0000, 0.0000, 0.5000)
Pb (0.0000, 0.5000, 0.0000)
Pb (0.0000, 0.5000, 0.3377)
Pb (0.0000, 0.5000, 0.6623)
Pb (0.5000, 0.0000, 0.0000)
Pb (0.5000, 0.0000, 0.3377)
Pb (0.5000, 0.0000, 0.6623)
Pb (0.5000, 0.5000, 0.1689)
Pb (0.5000, 0.5000, 0.5000)
Pb (0.5000, 0.5000, 0.8311)

---

Structure and calculated powder XRD pattern of Na3Li4I8 (a GGA-PBE-relaxed structure; copper Kα).
No peak broadening, texture or thermal motion is included.

Principal peaks in the range 2θ from 15° to 90°, by angle:
| Position (°2θ) | intensity |
| --- | --- |
| 24.27 | 100 |
| 25.25 | 92 |
| 28.58 | 49 |
| 28.72 | 96 |
| 40.96 | 71 |
| 47.71 | 30 |

Structural model:
a = 8.8158 Å, b = 8.8158 Å, c = 8.5457 Å
α = 118.90°, β = 118.90°, γ = 90.25°
Fractional positions:
Na (0.0000, 0.0000, 0.0000)
Na (0.0000, 0.5000, 0.0000)
Na (0.5000, 0.0000, 0.0000)
Li (0.0000, 0.5000, 0.5000)
Li (0.5000, 0.0000, 0.5000)
Li (0.5000, 0.5000, 0.0000)
Li (0.5000, 0.5000, 0.5000)
I (0.2563, 0.7437, 0.0000)
I (0.2587, 0.7413, 0.5000)
I (0.2628, 0.2628, 0.5157)
I (0.2669, 0.2669, 0.0162)
I (0.7331, 0.7331, 0.9838)
I (0.7372, 0.7372, 0.4843)
I (0.7413, 0.2587, 0.5000)
I (0.7437, 0.2563, 0.0000)

---

Structure and calculated powder XRD pattern of PmPrNiCl (a GGA-PBE-relaxed structure; copper Kα).
No peak broadening, texture or thermal motion is included.

Principal peaks in the range 2θ from 15° to 90°, by angle:
| Position (°2θ) | intensity |
| --- | --- |
| 27.28 | 84 |
| 28.02 | 70 |
| 32.81 | 100 |
| 37.58 | 78 |
| 40.37 | 49 |
| 47.79 | 46 |

Structural model:
a = 3.8063 Å, b = 3.8063 Å, c = 8.3870 Å
α = 103.02°, β = 103.02°, γ = 60.19°
Fractional positions:
Pm (0.0000, 0.0000, 0.0000)
Pr (0.8529, 0.8529, 0.5594)
Ni (0.5946, 0.5946, 0.7858)
Cl (0.4240, 0.4240, 0.2721)

---

Structure and calculated powder XRD pattern of KAg3Pd (a GGA-PBE-relaxed structure; copper Kα).
No peak broadening, texture or thermal motion is included.

Principal peaks in the range 2θ from 15° to 90°, by angle:
| Position (°2θ) | intensity |
| --- | --- |
| 16.65 | 51 |
| 20.56 | 28 |
| 27.88 | 28 |
| 33.66 | 100 |
| 37.24 | 32 |
| 47.15 | 33 |

Structural model:
a = 6.7620 Å, b = 6.7620 Å, c = 12.7998 Å
α = 90.00°, β = 90.00°, γ = 120.00°
Fractional positions:
K (0.0000, 0.0000, 0.0000)
K (0.0000, 0.0000, 0.5000)
K (0.3333, 0.6667, 0.2500)
K (0.6667, 0.3333, 0.7500)
Ag (0.0000, 0.5000, 0.0000)
Ag (0.0000, 0.5000, 0.5000)
Ag (0.1345, 0.2690, 0.7500)
Ag (0.1345, 0.8655, 0.7500)
Ag (0.2690, 0.1345, 0.2500)
Ag (0.5000, 0.0000, 0.0000)
Ag (0.5000, 0.0000, 0.5000)
Ag (0.5000, 0.5000, 0.0000)
Ag (0.5000, 0.5000, 0.5000)
Ag (0.7310, 0.8655, 0.7500)
Ag (0.8655, 0.1345, 0.2500)
Ag (0.8655, 0.7310, 0.2500)
Pd (0.3333, 0.6667, 0.6437)
Pd (0.3333, 0.6667, 0.8563)
Pd (0.6667, 0.3333, 0.1437)
Pd (0.6667, 0.3333, 0.3563)

---

Structure and calculated powder XRD pattern of La8TlTe4As3 (a GGA-PBE-relaxed structure; copper Kα).
No peak broadening, texture or thermal motion is included.

Principal peaks in the range 2θ from 15° to 90°, by angle:
| Position (°2θ) | intensity |
| --- | --- |
| 27.94 | 100 |
| 39.74 | 37 |
| 40.11 | 38 |
| 49.59 | 20 |
| 65.07 | 16 |
| 65.60 | 17 |

Structural model:
a = 9.0741 Å, b = 9.0741 Å, c = 9.0741 Å
α = 59.41°, β = 59.41°, γ = 59.41°
Fractional positions:
La (0.2362, 0.7479, 0.7479)
La (0.2411, 0.2411, 0.2411)
La (0.2521, 0.2521, 0.7638)
La (0.2521, 0.7638, 0.2521)
La (0.7479, 0.2362, 0.7479)
La (0.7479, 0.7479, 0.2362)
La (0.7589, 0.7589, 0.7589)
La (0.7638, 0.2521, 0.2521)
Tl (0.5000, 0.5000, 0.5000)
Te (0.0000, 0.0000, 0.0000)
Te (0.0000, 0.5000, 0.5000)
Te (0.5000, 0.0000, 0.5000)
Te (0.5000, 0.5000, 0.0000)
As (0.0000, 0.0000, 0.5000)
As (0.0000, 0.5000, 0.0000)
As (0.5000, 0.0000, 0.0000)

---

Structure and calculated powder XRD pattern of AlTl2ZnAu6 (a GGA-PBE-relaxed structure; copper Kα).
No peak broadening, texture or thermal motion is included.

Principal peaks in the range 2θ from 15° to 90°, by angle:
| Position (°2θ) | intensity |
| --- | --- |
| 29.79 | 61 |
| 30.35 | 100 |
| 31.09 | 71 |
| 31.25 | 79 |
| 41.56 | 58 |
| 42.17 | 33 |

Structural model:
a = 6.6096 Å, b = 6.7053 Å, c = 6.8827 Å
α = 62.97°, β = 61.62°, γ = 60.75°
Fractional positions:
Al (0.0000, 0.0000, 0.0000)
Tl (0.1918, 0.1984, 0.4166)
Tl (0.8082, 0.8016, 0.5834)
Zn (0.5000, 0.5000, 0.5000)
Au (0.1559, 0.3414, 0.8433)
Au (0.3428, 0.6493, 0.8537)
Au (0.3433, 0.8482, 0.1584)
Au (0.6567, 0.1518, 0.8416)
Au (0.6572, 0.3507, 0.1463)
Au (0.8441, 0.6586, 0.1567)

---

Structure and calculated powder XRD pattern of U3As4 (a GGA-PBE-relaxed structure; copper Kα).
No peak broadening, texture or thermal motion is included.

Principal peaks in the range 2θ from 15° to 90°, by angle:
| Position (°2θ) | intensity |
| --- | --- |
| 25.69 | 68 |
| 33.36 | 100 |
| 39.71 | 69 |
| 47.90 | 36 |
| 68.05 | 38 |
| 83.68 | 26 |

Structural model:
a = 7.3548 Å, b = 7.3548 Å, c = 7.3548 Å
α = 109.47°, β = 109.47°, γ = 109.47°
Fractional positions:
U (0.1250, 0.8750, 0.2500)
U (0.2500, 0.1250, 0.8750)
U (0.3750, 0.6250, 0.7500)
U (0.6250, 0.7500, 0.3750)
U (0.7500, 0.3750, 0.6250)
U (0.8750, 0.2500, 0.1250)
As (0.0000, 0.1585, 0.5000)
As (0.0000, 0.6585, 0.5000)
As (0.1585, 0.5000, 0.0000)
As (0.3415, 0.3415, 0.3415)
As (0.5000, 0.0000, 0.1585)
As (0.5000, 0.0000, 0.6585)
As (0.6585, 0.5000, 0.0000)
As (0.8415, 0.8415, 0.8415)

---

Structure and calculated powder XRD pattern of Li3Ac2Tl4 (a GGA-PBE-relaxed structure; copper Kα).
No peak broadening, texture or thermal motion is included.

Principal peaks in the range 2θ from 15° to 90°, by angle:
| Position (°2θ) | intensity |
| --- | --- |
| 23.52 | 63 |
| 30.25 | 61 |
| 31.21 | 87 |
| 33.54 | 57 |
| 33.75 | 45 |
| 33.88 | 100 |

Structural model:
a = 9.1729 Å, b = 9.1729 Å, c = 8.4418 Å
α = 90.00°, β = 90.00°, γ = 136.54°
Fractional positions:
Li (0.0000, 0.0000, 0.0000)
Li (0.0271, 0.4729, 0.2500)
Li (0.4729, 0.0271, 0.7500)
Li (0.5000, 0.5000, 0.5000)
Li (0.5271, 0.9729, 0.2500)
Li (0.9729, 0.5271, 0.7500)
Ac (0.1171, 0.8829, 0.4155)
Ac (0.3829, 0.6171, 0.9155)
Ac (0.6171, 0.3829, 0.0845)
Ac (0.8829, 0.1171, 0.5845)
Tl (0.1742, 0.8258, 0.0134)
Tl (0.1996, 0.3004, 0.2500)
Tl (0.3004, 0.1996, 0.7500)
Tl (0.3258, 0.6742, 0.5134)
Tl (0.6742, 0.3258, 0.4866)
Tl (0.6996, 0.8004, 0.2500)
Tl (0.8004, 0.6996, 0.7500)
Tl (0.8258, 0.1742, 0.9866)

---

Structure and calculated powder XRD pattern of CaTmPa2As4 (a GGA-PBE-relaxed structure; copper Kα).
No peak broadening, texture or thermal motion is included.

Principal peaks in the range 2θ from 15° to 90°, by angle:
| Position (°2θ) | intensity |
| --- | --- |
| 26.55 | 37 |
| 30.65 | 51 |
| 30.81 | 100 |
| 44.01 | 75 |
| 44.13 | 37 |
| 54.68 | 40 |

Structural model:
a = 7.1332 Å, b = 7.1332 Å, c = 7.1332 Å
α = 131.98°, β = 131.98°, γ = 70.26°
Fractional positions:
Ca (0.0000, 0.0000, 0.0000)
Tm (0.2500, 0.7500, 0.5000)
Pa (0.5000, 0.5000, 0.0000)
Pa (0.7500, 0.2500, 0.5000)
As (0.2538, 0.2538, 0.0000)
As (0.5008, 0.0008, 0.5000)
As (0.7462, 0.7462, 0.0000)
As (0.9992, 0.4992, 0.5000)

---

Structure and calculated powder XRD pattern of Pm2Dy3Tm (a GGA-PBE-relaxed structure; copper Kα).
No peak broadening, texture or thermal motion is included.

Principal peaks in the range 2θ from 15° to 90°, by angle:
| Position (°2θ) | intensity |
| --- | --- |
| 31.43 | 100 |
| 31.68 | 43 |
| 31.88 | 84 |
| 45.28 | 30 |
| 56.55 | 24 |
| 62.40 | 25 |

Structural model:
a = 8.9710 Å, b = 8.9710 Å, c = 9.7063 Å
α = 122.62°, β = 122.62°, γ = 36.70°
Fractional positions:
Pm (0.0018, 0.0018, 0.3366)
Pm (0.2493, 0.2493, 0.5715)
Pm (0.7507, 0.7507, 0.4285)
Pm (0.9982, 0.9982, 0.6634)
Dy (0.1241, 0.1241, 0.1172)
Dy (0.2496, 0.2496, 0.9088)
Dy (0.4985, 0.4985, 0.8307)
Dy (0.5015, 0.5015, 0.1693)
Dy (0.7504, 0.7504, 0.0912)
Dy (0.8759, 0.8759, 0.8828)
Tm (0.3749, 0.3749, 0.3676)
Tm (0.6251, 0.6251, 0.6324)